This entry pairs a crystal structure of Ac3I3N2 with its theoretical powder X-ray diffraction pattern. Radiation: copper Kα. Structure: a GGA-PBE-relaxed structure.

Cell and atoms:
abc: 8.842 8.842 14.710
angles: 90.00 90.00 151.79
Fractional coordinates of all 16 atoms:
1 Ac 0.166 0.834 0.530
2 Ac 0.166 0.834 0.970
3 Ac 0.226 0.774 0.250
4 Ac 0.774 0.226 0.750
5 Ac 0.834 0.166 0.030
6 Ac 0.834 0.166 0.470
7 I 0.119 0.881 0.750
8 I 0.422 0.578 0.623
9 I 0.422 0.578 0.877
10 I 0.578 0.422 0.123
11 I 0.578 0.422 0.377
12 I 0.881 0.119 0.250
13 N 0.267 0.733 0.086
14 N 0.267 0.733 0.414
15 N 0.733 0.267 0.586
16 N 0.733 0.267 0.914

Peak list (8 most intense, 5° ≤ 2θ ≤ 70°, low angle first)
- 2θ 10.3, d = 8.576 Å, rel. 84
- 2θ 25.9, d = 3.442 Å, rel. 91
- 2θ 26.4, d = 3.380 Å, rel. 50
- 2θ 26.6, d = 3.351 Å, rel. 100
- 2θ 27.6, d = 3.228 Å, rel. 55
- 2θ 28.0, d = 3.181 Å, rel. 58
- 2θ 32.4, d = 2.761 Å, rel. 66
- 2θ 35.7, d = 2.513 Å, rel. 44